Entry 1:
The following is a calculated powder X-ray diffraction pattern of Cu2Ag7. It was derived from a crystal structure in OQMD, relaxed with GGA-PBE, using λ = 1.5418 Å (Cu Kα).

Top 12 peaks for 10 to 90 degrees two-theta, in order of falling intensity:
- 2θ = 38.58°, I 100.0
- 2θ = 44.20°, I 46.1
- 2θ = 38.42°, I 33.9
- 2θ = 45.98°, I 17.7
- 2θ = 77.63°, I 15.1
- 2θ = 65.54°, I 11.7
- 2θ = 65.82°, I 11.0
- 2θ = 77.37°, I 8.5
- 2θ = 77.49°, I 8.1
- 2θ = 64.33°, I 7.1
- 2θ = 64.26°, I 6.9
- 2θ = 82.64°, I 6.0

Atomic structure:
Lattice parameters (Å, degrees): 9.5321 2.8963 11.7784 90.00 113.44 90.00
Space group C2/m (No. 12)
Inequivalent atoms, fractional coordinates:
Cu 0.2314 0.0000 0.4029 (multiplicity 4)
Ag 0.0000 0.0000 0.5000 (multiplicity 2)
Ag 0.0375 0.5000 0.7142 (multiplicity 4)
Ag 0.1084 0.0000 0.9452 (multiplicity 4)
Ag 0.1808 0.5000 0.1819 (multiplicity 4)

---

Entry 2:
The following is a calculated powder X-ray diffraction pattern of Dy4Cu3Si. It was derived from a crystal structure in OQMD, relaxed with GGA-PBE, using λ = 1.5418 Å (Cu Kα).

Top 12 peaks for 10 to 90 degrees two-theta, in order of falling intensity:
- 2θ = 32.54°, I 100.0
- 2θ = 29.32°, I 68.2
- 2θ = 40.58°, I 64.5
- 2θ = 43.21°, I 48.2
- 2θ = 33.86°, I 48.1
- 2θ = 34.18°, I 47.4
- 2θ = 36.16°, I 42.3
- 2θ = 26.49°, I 42.0
- 2θ = 40.30°, I 40.4
- 2θ = 29.14°, I 39.9
- 2θ = 36.47°, I 36.6
- 2θ = 54.72°, I 24.2

Atomic structure:
Lattice parameters (Å, degrees): 5.6520 4.1874 7.3000 90.00 90.78 90.00
Space group Pm (No. 6)
Inequivalent atoms, fractional coordinates:
Dy 0.0000 0.0000 0.0000 (multiplicity 1)
Dy 0.2402 0.0000 0.5094 (multiplicity 1)
Dy 0.4998 0.5000 0.8642 (multiplicity 1)
Dy 0.7422 0.5000 0.3563 (multiplicity 1)
Cu 0.2409 0.5000 0.2163 (multiplicity 1)
Cu 0.4866 0.0000 0.1484 (multiplicity 1)
Cu 0.9865 0.5000 0.7146 (multiplicity 1)
Si 0.7348 0.0000 0.6433 (multiplicity 1)

---

Entry 3:
The following is a calculated powder X-ray diffraction pattern of NaZnB4. It was derived from a crystal structure in OQMD, relaxed with GGA-PBE, using λ = 1.5418 Å (Cu Kα).

Top 12 peaks for 10 to 90 degrees two-theta, in order of falling intensity:
- 2θ = 41.78°, I 100.0
- 2θ = 11.77°, I 92.1
- 2θ = 33.92°, I 47.6
- 2θ = 36.02°, I 24.7
- 2θ = 23.67°, I 23.4
- 2θ = 60.70°, I 19.3
- 2θ = 60.45°, I 19.2
- 2θ = 76.40°, I 14.4
- 2θ = 50.17°, I 14.4
- 2θ = 81.21°, I 13.9
- 2θ = 48.44°, I 12.0
- 2θ = 66.09°, I 9.6

Atomic structure:
Lattice parameters (Å, degrees): 3.0517 3.0517 7.5164 90.00 90.00 120.00
Space group P6/mmm (No. 191)
Inequivalent atoms, fractional coordinates:
Na 0.0000 0.0000 0.0000 (multiplicity 1)
Zn 0.0000 0.0000 0.5000 (multiplicity 1)
B 0.3333 0.6667 0.2800 (multiplicity 4)

---

Entry 4:
The following is a calculated powder X-ray diffraction pattern of ZrH. It was derived from a crystal structure in OQMD, relaxed with GGA-PBE, using λ = 1.5418 Å (Cu Kα).

Top 10 peaks for 10 to 90 degrees two-theta, in order of falling intensity:
- 2θ = 32.99°, I 100.0
- 2θ = 39.03°, I 30.7
- 2θ = 66.89°, I 24.2
- 2θ = 54.67°, I 23.2
- 2θ = 36.73°, I 17.7
- 2θ = 63.78°, I 13.6
- 2θ = 69.19°, I 10.6
- 2θ = 56.38°, I 10.6
- 2θ = 83.83°, I 3.2
- 2θ = 78.12°, I 1.8

Atomic structure:
Lattice parameters (Å, degrees): 4.6150 4.6172 9.7879 90.00 90.00 90.00
Space group P222 (No. 16)
Inequivalent atoms, fractional coordinates:
Zr 0.2454 0.2473 0.1288 (multiplicity 4)
Zr 0.2526 0.2419 0.6178 (multiplicity 4)
H 0.0000 0.5000 0.0000 (multiplicity 1)
H 0.0000 0.5000 0.2522 (multiplicity 2)
H 0.0000 0.5000 0.5000 (multiplicity 1)
H 0.5000 0.0000 0.0000 (multiplicity 1)
H 0.5000 0.0000 0.2524 (multiplicity 2)
H 0.5000 0.5000 0.0000 (multiplicity 1)

---

Question: Number 4 is which compound?
Answer: ZrH